[1]
# Hf6AsN2
Simulated XRD peak list, Cu Kα (weighted mean of Kα1 and Kα2). Input: the GGA-PBE geometry in Alexandria.
Neutral-atom scattering factors, no anomalous dispersion.

Top 10 peaks for 15 to 90 degrees two-theta, low angle first:
2θ/deg, I_rel
31.3, 30.4
31.4, 88.9
33.0, 34.1
34.0, 82.3
35.6, 32.4
35.8, 40.1
36.2, 100.0
36.5, 22.1
40.3, 25.5
56.0, 28.4

Structural model:
```
Hf6AsN2
1.0
6.089 -4.853 0.000
6.089 4.853 0.000
-2.178 0.000 5.783
Hf As N
12 2 4
direct
0.025 0.237 0.013
0.113 0.655 0.501
0.237 0.025 0.513
0.310 0.419 0.832
0.345 0.887 0.999
0.419 0.310 0.332
0.581 0.690 0.668
0.655 0.113 0.001
0.690 0.581 0.168
0.763 0.975 0.487
0.887 0.345 0.499
0.975 0.763 0.987
0.343 0.657 0.250
0.657 0.343 0.750
0.117 0.245 0.727
0.245 0.117 0.227
0.755 0.883 0.773
0.883 0.755 0.273
```

=====

[2]
# Na2Hf2As2N
Simulated XRD peak list, Cu Kα (weighted mean of Kα1 and Kα2). Input: the GGA-PBE geometry in Alexandria.
Neutral-atom scattering factors, no anomalous dispersion.

Top 10 peaks for 15 to 90 degrees two-theta, low angle first:
2θ/deg, I_rel
31.4, 84.3
35.2, 17.8
37.6, 100.0
41.6, 48.2
43.3, 30.9
46.3, 22.3
55.6, 19.0
65.0, 17.8
69.5, 17.6
73.2, 28.8

Structural model:
```
Na2Hf2As2N
1.0
4.345 0.000 0.000
0.000 4.345 0.000
0.000 0.000 15.283
Na Hf As N
4 4 4 2
direct
0.000 0.000 0.180
0.000 0.000 0.820
0.500 0.500 0.320
0.500 0.500 0.680
0.000 0.500 0.000
0.000 0.500 0.500
0.500 0.000 0.000
0.500 0.000 0.500
0.000 0.000 0.378
0.000 0.000 0.622
0.500 0.500 0.122
0.500 0.500 0.878
0.000 0.000 0.000
0.500 0.500 0.500
```